The following is a theoretical powder diffraction line list of Li5Co2Cu2P4O16. It was derived from a cell relaxed with PBE+U, using Cu Kα X-rays.

Peak list (10 most intense, 2θ from 5° to 70°, by intensity)
28.90 deg, intensity 100, hkl 0 2 0
19.97 deg, intensity 77, hkl 1 0 1
17.25 deg, intensity 60, hkl 0 0 2
25.24 deg, intensity 57, hkl 1 1 -1
36.30 deg, intensity 44, hkl 1 1 -3
38.89 deg, intensity 35, hkl 1 0 4
31.24 deg, intensity 34, hkl 1 0 3
25.46 deg, intensity 33, hkl -1 1 1
34.58 deg, intensity 31, hkl 1 2 1
20.81 deg, intensity 30, hkl 1 0 -1

Cell and atoms:
Unit cell a=4.816 b=6.188 c=10.303 alpha=87.43 beta=86.87 gamma=88.20
Sites, in units of the cell vectors:
1 Li 0.000 0.000 0.000
2 Li 0.001 0.499 0.004
3 Li 0.398 0.024 0.378
4 Li 0.502 0.498 0.503
5 Li 0.606 0.973 0.630
6 Co 0.039 0.726 0.721
7 Co 0.965 0.270 0.286
8 Cu 0.431 0.730 0.207
9 Cu 0.570 0.268 0.800
10 P 0.097 0.242 0.598
11 P 0.424 0.247 0.103
12 P 0.579 0.750 0.904
13 P 0.907 0.755 0.409
14 O 0.205 0.265 0.452
15 O 0.214 0.021 0.654
16 O 0.227 0.431 0.668
17 O 0.229 0.744 0.396
18 O 0.260 0.740 0.901
19 O 0.264 0.451 0.159
20 O 0.301 0.059 0.194
21 O 0.319 0.223 0.965
22 O 0.683 0.774 0.043
23 O 0.705 0.939 0.814
24 O 0.739 0.547 0.848
25 O 0.743 0.258 0.106
26 O 0.775 0.253 0.612
27 O 0.777 0.566 0.339
28 O 0.790 0.976 0.353
29 O 0.799 0.732 0.555